No. 1
Theoretical X-ray diffraction stick pattern of YZn11Ga for Cu Kα, 1.54184 Å, from the GGA-PBE geometry in Alexandria.
Kinematic intensities with the Lorentz-polarization factor, no thermal factor.

Cell and atoms:
```
YZn11Ga
1.0
2.6310 -6.2852 0.0000
2.6310 6.2852 0.0000
-2.6137 0.0000 6.2770
Y Zn Ga
1 11 1
Direct
0.0000 0.0000 0.0000 Y
0.0000 0.0000 0.5000 Zn
0.0000 0.5000 0.0000 Zn
0.0103 0.6525 0.6469 Zn
0.2784 0.4962 0.7853 Zn
0.3475 0.9897 0.3531 Zn
0.4962 0.2784 0.7853 Zn
0.5000 0.0000 0.0000 Zn
0.5038 0.7216 0.2147 Zn
0.6525 0.0103 0.6469 Zn
0.7216 0.5038 0.2147 Zn
0.9897 0.3475 0.3531 Zn
0.5000 0.5000 0.5000 Ga
```

Peak list (10 most intense, 10 to 90 degrees two-theta, most intense first)
two_theta  d/Å  I (rel.)
40.43  2.231  100
39.83  2.263  81
40.63  2.221  61
44.92  2.018  49
34.77  2.580  44
45.68  1.986  34
45.49  1.994  27
34.08  2.631  17
65.27  1.430  17
73.76  1.285  14

No. 2
Theoretical X-ray diffraction stick pattern of Y3ZnGa2 for Cu Kα, 1.54184 Å, from the GGA-PBE geometry in Alexandria.
Kinematic intensities with the Lorentz-polarization factor, no thermal factor.

Cell and atoms:
```
Y3ZnGa2
1.0
3.5695 0.0000 0.0000
0.0000 3.5695 0.0000
0.0000 0.0000 10.7918
Y Zn Ga
3 1 2
Direct
0.0000 0.0000 0.0000 Y
0.0000 0.0000 0.3362 Y
0.0000 0.0000 0.6638 Y
0.5000 0.5000 0.5000 Zn
0.5000 0.5000 0.1716 Ga
0.5000 0.5000 0.8284 Ga
```

Peak list (10 most intense, 10 to 90 degrees two-theta, most intense first)
two_theta  d/Å  I (rel.)
35.43  2.534  100
35.57  2.524  50
63.79  1.459  34
63.51  1.465  17
51.18  1.785  17
86.11  1.129  15
74.96  1.267  10
50.76  1.799  9
85.41  1.137  7
75.30  1.262  5

No. 3
Theoretical X-ray diffraction stick pattern of Y3ZnGa for Cu Kα, 1.54184 Å, from the GGA-PBE geometry in Alexandria.
Kinematic intensities with the Lorentz-polarization factor, no thermal factor.

Cell and atoms:
```
Y3ZnGa
1.0
2.5194 -9.9282 0.0000
2.5194 9.9282 0.0000
0.0000 0.0000 5.0337
Y Zn Ga
6 2 2
Direct
0.0688 0.9312 0.7500 Y
0.2493 0.7507 0.7500 Y
0.4299 0.5701 0.7500 Y
0.5701 0.4299 0.2500 Y
0.7507 0.2493 0.2500 Y
0.9312 0.0688 0.2500 Y
0.1592 0.8408 0.2500 Zn
0.8408 0.1592 0.7500 Zn
0.3389 0.6611 0.2500 Ga
0.6611 0.3389 0.7500 Ga
```

Peak list (10 most intense, 10 to 90 degrees two-theta, most intense first)
two_theta  d/Å  I (rel.)
33.81  2.651  100
35.65  2.518  53
62.87  1.478  31
51.31  1.781  18
40.66  2.219  13
59.26  1.559  10
67.76  1.383  8
86.40  1.126  8
88.00  1.110  7
85.35  1.137  7

No. 4
Theoretical X-ray diffraction stick pattern of Y3Zn2Ga7 for Cu Kα, 1.54184 Å, from the GGA-PBE geometry in Alexandria.
Kinematic intensities with the Lorentz-polarization factor, no thermal factor.

Cell and atoms:
```
Y3Zn2Ga7
1.0
4.1870 0.0000 0.0000
0.0000 4.1821 0.0000
-2.0541 0.0000 13.4618
Y Zn Ga
3 2 7
Direct
0.0000 0.0000 0.0000 Y
0.3148 0.5000 0.6305 Y
0.6852 0.5000 0.3695 Y
0.1359 0.0000 0.2741 Zn
0.8641 0.0000 0.7259 Zn
0.0819 0.5000 0.1661 Ga
0.2269 0.0000 0.4535 Ga
0.4177 0.0000 0.8345 Ga
0.5000 0.5000 0.0000 Ga
0.5823 0.0000 0.1655 Ga
0.7731 0.0000 0.5465 Ga
0.9181 0.5000 0.8339 Ga
```

Peak list (10 most intense, 10 to 90 degrees two-theta, most intense first)
two_theta  d/Å  I (rel.)
34.59  2.593  100
43.24  2.092  60
38.38  2.345  29
62.81  1.479  19
34.20  2.622  18
73.76  1.285  16
31.84  2.810  12
42.89  2.109  11
62.49  1.486  9
42.74  2.116  7

No. 5
Theoretical X-ray diffraction stick pattern of YZnGa for Cu Kα, 1.54184 Å, from the GGA-PBE geometry in Alexandria.
Kinematic intensities with the Lorentz-polarization factor, no thermal factor.

Cell and atoms:
```
YZnGa
1.0
4.1931 0.0000 0.0000
0.0000 4.1931 0.0000
0.0000 0.0000 7.1487
Y Zn Ga
2 2 2
Direct
0.2500 0.2500 0.1735 Y
0.7500 0.7500 0.8265 Y
0.2500 0.2500 0.7386 Zn
0.7500 0.7500 0.2614 Zn
0.2500 0.7500 0.5000 Ga
0.7500 0.2500 0.5000 Ga
```

Peak list (10 most intense, 10 to 90 degrees two-theta, most intense first)
two_theta  d/Å  I (rel.)
39.49  2.282  100
43.15  2.097  56
32.70  2.739  53
32.93  2.720  31
76.65  1.243  26
30.14  2.965  22
62.67  1.482  18
58.65  1.574  17
37.75  2.383  16
12.38  7.149  14

No. 6
Theoretical X-ray diffraction stick pattern of YZn6Ga6 for Cu Kα, 1.54184 Å, from the GGA-PBE geometry in Alexandria.
Kinematic intensities with the Lorentz-polarization factor, no thermal factor.

Cell and atoms:
```
YZn6Ga6
1.0
-2.8013 4.4448 4.5316
2.8013 -4.4448 4.5316
2.8013 4.4448 -4.5316
Y Zn Ga
1 6 6
Direct
0.0000 0.0000 0.0000 Y
0.0000 0.0000 0.5000 Zn
0.0000 0.5000 0.0000 Zn
0.2314 0.5000 0.7314 Zn
0.5000 0.0000 0.0000 Zn
0.5000 0.5000 0.5000 Zn
0.7686 0.5000 0.2686 Zn
0.1836 0.6836 0.5000 Ga
0.3483 0.3483 0.0000 Ga
0.3527 0.0000 0.3527 Ga
0.6473 0.0000 0.6473 Ga
0.6517 0.6517 0.0000 Ga
0.8164 0.3164 0.5000 Ga
```

Peak list (10 most intense, 10 to 90 degrees two-theta, most intense first)
two_theta  d/Å  I (rel.)
39.49  2.282  100
43.07  2.100  96
39.76  2.267  80
37.75  2.383  70
37.97  2.370  61
33.71  2.659  50
40.59  2.222  48
44.90  2.019  40
70.88  1.330  31
31.95  2.801  31

No. 7
Theoretical X-ray diffraction stick pattern of Y2Zn3Ga4 for Cu Kα, 1.54184 Å, from the GGA-PBE geometry in Alexandria.
Kinematic intensities with the Lorentz-polarization factor, no thermal factor.

Cell and atoms:
```
Y2Zn3Ga4
1.0
2.8718 -7.5963 0.0000
2.8718 7.5963 0.0000
0.0000 0.0000 7.7155
Y Zn Ga
4 6 8
Direct
0.1078 0.8922 0.9036 Y
0.3922 0.6078 0.4036 Y
0.6078 0.3922 0.5964 Y
0.8922 0.1078 0.0964 Y
0.0000 0.0000 0.5000 Zn
0.0205 0.4795 0.7500 Zn
0.4795 0.0205 0.2500 Zn
0.5000 0.5000 0.0000 Zn
0.5205 0.9795 0.7500 Zn
0.9795 0.5205 0.2500 Zn
0.1752 0.8248 0.5206 Ga
0.1899 0.3101 0.7500 Ga
0.3101 0.1899 0.2500 Ga
0.3248 0.6752 0.0206 Ga
0.6752 0.3248 0.9794 Ga
0.6899 0.8101 0.7500 Ga
0.8101 0.6899 0.2500 Ga
0.8248 0.1752 0.4794 Ga
```

Peak list (10 most intense, 10 to 90 degrees two-theta, most intense first)
two_theta  d/Å  I (rel.)
35.39  2.537  100
39.10  2.304  72
36.90  2.436  33
33.10  2.707  27
42.71  2.117  23
37.38  2.406  21
58.20  1.585  21
60.61  1.528  19
69.45  1.353  19
39.33  2.291  16

No. 8
Theoretical X-ray diffraction stick pattern of Y3Zn3Ga for Cu Kα, 1.54184 Å, from the GGA-PBE geometry in Alexandria.
Kinematic intensities with the Lorentz-polarization factor, no thermal factor.

Cell and atoms:
```
Y3Zn3Ga
1.0
3.6418 0.0000 0.0000
0.0000 4.4488 0.0000
0.0000 0.0000 19.2327
Y Zn Ga
6 6 2
Direct
0.0000 0.0000 0.0000 Y
0.0000 0.0000 0.3845 Y
0.0000 0.5000 0.1921 Y
0.5000 0.0000 0.6921 Y
0.5000 0.5000 0.5000 Y
0.5000 0.5000 0.8845 Y
0.0000 0.0000 0.5528 Zn
0.0000 0.0000 0.8324 Zn
0.0000 0.5000 0.6248 Zn
0.5000 0.0000 0.1248 Zn
0.5000 0.5000 0.0528 Zn
0.5000 0.5000 0.3324 Zn
0.0000 0.5000 0.7571 Ga
0.5000 0.0000 0.2571 Ga
```

Peak list (10 most intense, 10 to 90 degrees two-theta, most intense first)
two_theta  d/Å  I (rel.)
33.13  2.704  100
38.51  2.338  61
33.90  2.645  56
40.56  2.224  36
53.86  1.702  29
64.91  1.437  25
36.97  2.431  22
50.10  1.821  19
42.72  2.116  17
66.34  1.409  16